For Hg3BI2O2F4, a cell relaxed with PBE gives the theoretical X-ray diffraction stick pattern in this record (Cu Kα (weighted mean of Kα1 and Kα2)).

Largest 8 diffraction maxima, by angle, 10° ≤ 2θ ≤ 90°:
two_theta  d [Å]  I (rel.)
13.17  6.721  53
15.67  5.657  37
24.35  3.655  20
25.99  3.428  20
28.38  3.144  100
31.60  2.831  21
36.85  2.439  20
39.23  2.297  22

```
Hg3BI2O2F4
1.0
7.6666 0.0000 0.0000
0.0000 13.4428 0.0000
-7.1940 0.0000 10.4739
Hg B I O F
12 4 8 8 16
direct
0.0219 0.1751 0.0407
0.0219 0.3249 0.5407
0.2277 0.6905 0.2664
0.2277 0.8095 0.7664
0.4453 0.6914 0.0695
0.4453 0.8086 0.5695
0.5547 0.1914 0.4305
0.5547 0.3086 0.9305
0.7723 0.1905 0.2336
0.7723 0.3095 0.7336
0.9781 0.6751 0.4593
0.9781 0.8249 0.9593
0.1454 0.1036 0.7615
0.1454 0.3964 0.2615
0.8546 0.6036 0.7385
0.8546 0.8964 0.2385
0.3075 0.1395 0.5070
0.3075 0.3605 0.0070
0.3421 0.0518 0.1866
0.3421 0.4482 0.6866
0.6579 0.5518 0.3134
0.6579 0.9482 0.8134
0.6925 0.6395 0.9930
0.6925 0.8605 0.4930
0.1950 0.7135 0.0959
0.1950 0.7865 0.5959
0.2632 0.6762 0.4362
0.2632 0.8238 0.9362
0.7368 0.1762 0.0638
0.7368 0.3238 0.5638
0.8050 0.2135 0.4041
0.8050 0.2865 0.9041
0.0586 0.6234 0.7650
0.0586 0.8766 0.2650
0.1292 0.0318 0.6752
0.1292 0.4682 0.1752
0.2225 0.1956 0.7401
0.2225 0.3044 0.2401
0.2841 0.0748 0.8874
0.2841 0.4252 0.3874
0.7159 0.5748 0.6126
0.7159 0.9252 0.1126
0.7775 0.6956 0.7599
0.7775 0.8044 0.2599
0.8708 0.5318 0.8248
0.8708 0.9682 0.3248
0.9414 0.1234 0.7350
0.9414 0.3766 0.2350
```